Tm2SiPd2: computed powder diffraction line list (Cu Ka), based on DFT lattice parameters and positions (GGA-PBE).
Peak positions follow from Bragg's law for the DFT cell and can differ from measured ones.

Structure:
Lattice parameters (Å, degrees): 7.493 13.612 4.106 90.00 90.00 90.00
Space group Pnnm (No. 58)
Symmetry-distinct sites (fractional):
Tm  0.043  0.126  0.000 [4 per cell]
Tm  0.051  0.631  0.000 [4 per cell]
Si  0.153  0.472  0.500 [4 per cell]
Pd  0.173  0.281  0.500 [4 per cell]
Pd  0.179  0.981  0.500 [4 per cell]

Top 12 peaks for 10 to 80 degrees two-theta, sorted by position:
h k l	2theta	Rel. int.
1 0 1	24.7	38
1 1 1	25.6	13
2 2 1	35.0	41
2 4 0	35.6	47
1 4 1	36.3	100
3 2 0	38.4	18
1 6 0	41.6	15
3 0 1	42.4	40
0 0 2	44.1	29
2 4 2	58.0	25
4 6 1	68.9	21
1 4 3	76.0	12